This entry pairs a crystal structure of GeAuSeN2 with its calculated X-ray powder pattern. Radiation: Cu Kα. Structure: a crystal structure in Alexandria, relaxed with GGA-PBE.

Atomic structure:
a = 3.677 Å, b = 3.677 Å, c = 6.754 Å
α = 90.00°, β = 90.00°, γ = 90.00°
Space group P4/mmm (No. 123)
Asymmetric unit:
Ge  0.000  0.000  0.000 x1
Au  0.500  0.500  0.500 x1
Se  0.000  0.000  0.500 x1
N  0.000  0.500  0.000 x2

Largest 6 diffraction maxima, low angle first, 2θ from 10° to 90°:
Position (°2θ), d (Å), I/Imax
13.1, 6.754, 94
26.4, 3.377, 100
27.6, 3.229, 90
34.5, 2.600, 73
37.0, 2.426, 59
43.9, 2.060, 75